Structure and computed X-ray powder pattern of Ta5Mo3 (a DFT-relaxed cell (GGA-PBE, Alexandria); Cu Kα X-rays).
Peak positions follow from Bragg's law for the DFT cell and can differ from measured ones.

Peak list (10 most intense, 2θ from 15° to 90°, by intensity)
| 2θ/deg | Rel. int. |
| --- | --- |
| 39.18 | 100 |
| 71.07 | 23 |
| 56.71 | 11 |
| 70.88 | 11 |
| 84.14 | 7 |
| 56.42 | 6 |
| 28.33 | 5 |
| 84.39 | 4 |
| 53.14 | 2 |
| 34.37 | 1 |

Atomic structure:
```
Ta5Mo3
1.0
3.246 0.000 0.000
0.000 3.246 0.000
0.000 0.000 13.047
Ta Mo
5 3
Cartesian
0.000 0.000 0.000
0.000 0.000 3.176
0.000 0.000 9.871
1.623 1.623 4.948
1.623 1.623 8.100
0.000 0.000 6.524
1.623 1.623 1.626
1.623 1.623 11.421
```

=====

Structure and computed X-ray powder pattern of Cd3In4Cl10 (a DFT-relaxed cell (GGA-PBE, Alexandria); Cu Kα X-rays).
Peak positions follow from Bragg's law for the DFT cell and can differ from measured ones.

Peak list (10 most intense, 2θ from 15° to 90°, by intensity)
| 2θ/deg | Rel. int. |
| --- | --- |
| 24.09 | 100 |
| 34.08 | 74 |
| 23.92 | 73 |
| 42.16 | 47 |
| 49.33 | 35 |
| 34.57 | 26 |
| 31.08 | 25 |
| 55.23 | 25 |
| 48.96 | 25 |
| 61.31 | 21 |

Atomic structure:
```
Cd3In4Cl10
1.0
-2.631 2.631 18.160
2.631 -2.631 18.160
2.631 2.631 -18.160
Cd In Cl
3 4 10
Cartesian
0.000 0.000 0.000
0.000 0.000 5.284
0.000 0.000 31.037
0.000 0.000 10.884
0.000 0.000 15.683
0.000 0.000 20.638
0.000 0.000 25.437
2.631 0.000 0.000
0.000 0.000 2.603
2.631 0.000 5.103
0.000 0.000 7.846
2.631 0.000 13.058
0.000 2.631 0.000
0.000 2.631 5.103
0.000 0.000 28.475
0.000 2.631 13.058
0.000 0.000 33.718
```

=====

Repeat the second record exactly.
Structure and computed X-ray powder pattern of Cd3In4Cl10 (a DFT-relaxed cell (GGA-PBE, Alexandria); Cu Kα X-rays).
Peak positions follow from Bragg's law for the DFT cell and can differ from measured ones.

Peak list (10 most intense, 2θ from 15° to 90°, by intensity)
| 2θ/deg | Rel. int. |
| --- | --- |
| 24.09 | 100 |
| 34.08 | 74 |
| 23.92 | 73 |
| 42.16 | 47 |
| 49.33 | 35 |
| 34.57 | 26 |
| 31.08 | 25 |
| 55.23 | 25 |
| 48.96 | 25 |
| 61.31 | 21 |

Atomic structure:
```
Cd3In4Cl10
1.0
-2.631 2.631 18.160
2.631 -2.631 18.160
2.631 2.631 -18.160
Cd In Cl
3 4 10
Cartesian
0.000 0.000 0.000
0.000 0.000 5.284
0.000 0.000 31.037
0.000 0.000 10.884
0.000 0.000 15.683
0.000 0.000 20.638
0.000 0.000 25.437
2.631 0.000 0.000
0.000 0.000 2.603
2.631 0.000 5.103
0.000 0.000 7.846
2.631 0.000 13.058
0.000 2.631 0.000
0.000 2.631 5.103
0.000 0.000 28.475
0.000 2.631 13.058
0.000 0.000 33.718
```

=====

Which formula does entry 2 have?
Cd3In4Cl10